(1)
The following is a theoretical X-ray powder pattern of Li3Ag2Ge. It was derived from a PBE-relaxed structure, using Cu Kα X-rays.
Intensities are scaled so that the largest is 100.

Largest 12 diffraction maxima, low angle first, 2θ = 10–90°:
two_theta	I_rel
26.97	59.6
29.08	98.3
40.08	100.0
41.47	22.6
41.72	22.2
50.16	20.7
50.38	20.4
60.28	14.6
63.96	19.2
67.23	16.5
74.70	14.8
75.05	14.7

Structural model:
```
data_Li3Ag2Ge
_chemical_formula_sum 'Li6 Ag4 Ge2'
_space_group_name_H-M_alt 'P 1'
_space_group_IT_number 1
_cell_length_a 4.3298
_cell_length_b 13.0657
_cell_length_c 3.3064
_cell_angle_alpha 90.00
_cell_angle_beta 90.00
_cell_angle_gamma 90.00
loop_
_space_group_symop_operation_xyz
'x,y,z'
loop_
_atom_site_label
_atom_site_fract_x
_atom_site_fract_y
_atom_site_fract_z
Li1 0.0000 0.0000 0.0000
Li2 0.0000 0.3388 0.0000
Li3 0.0000 0.6612 0.0000
Li4 0.5000 0.1612 0.0000
Li5 0.5000 0.5000 0.0000
Li6 0.5000 0.8388 0.0000
Ag1 0.0000 0.1672 0.5000
Ag2 0.0000 0.8328 0.5000
Ag3 0.5000 0.3328 0.5000
Ag4 0.5000 0.6672 0.5000
Ge1 0.0000 0.5000 0.5000
Ge2 0.5000 0.0000 0.5000
```



(2)
The following is a theoretical X-ray powder pattern of Li5AgGe2. It was derived from a PBE-relaxed structure, using Cu Kα X-rays.
Intensities are scaled so that the largest is 100.

Largest 12 diffraction maxima, low angle first, 2θ = 10–90°:
two_theta	I_rel
20.07	86.3
28.19	100.0
28.86	47.1
34.85	42.8
40.29	51.4
40.79	99.2
50.32	38.9
58.30	16.8
66.34	16.4
73.52	16.5
73.64	16.4
74.58	15.8

Structural model:
```
data_Li5AgGe2
_chemical_formula_sum 'Li5 Ag1 Ge2'
_space_group_name_H-M_alt 'P 1'
_space_group_IT_number 1
_cell_length_a 5.4454
_cell_length_b 5.4373
_cell_length_c 6.3308
_cell_angle_alpha 54.49
_cell_angle_beta 54.37
_cell_angle_gamma 71.14
loop_
_space_group_symop_operation_xyz
'x,y,z'
loop_
_atom_site_label
_atom_site_fract_x
_atom_site_fract_y
_atom_site_fract_z
Li1 0.0000 0.0000 0.0000
Li2 0.0008 0.5004 0.4996
Li3 0.0008 0.5004 0.9992
Li4 0.5004 0.0008 0.4996
Li5 0.5004 0.0008 0.9992
Ag1 0.5010 0.5010 0.4990
Ge1 0.0005 0.0005 0.4995
Ge2 0.5005 0.5005 0.9995
```



(3)
The following is a theoretical X-ray powder pattern of LiAg5Ge. It was derived from a PBE-relaxed structure, using Cu Kα X-rays.
Intensities are scaled so that the largest is 100.

Largest 12 diffraction maxima, low angle first, 2θ = 10–90°:
two_theta	I_rel
14.10	19.0
29.21	33.2
32.53	40.7
33.94	27.2
37.14	35.6
37.52	100.0
38.15	46.4
40.76	59.8
41.33	53.2
41.57	28.0
41.90	59.8
42.74	30.1

Structural model:
```
data_LiAg5Ge
_chemical_formula_sum 'Li2 Ag10 Ge2'
_space_group_name_H-M_alt 'P 1'
_space_group_IT_number 1
_cell_length_a 7.3680
_cell_length_b 7.3680
_cell_length_c 5.2889
_cell_angle_alpha 91.41
_cell_angle_beta 91.41
_cell_angle_gamma 121.43
loop_
_space_group_symop_operation_xyz
'x,y,z'
loop_
_atom_site_label
_atom_site_fract_x
_atom_site_fract_y
_atom_site_fract_z
Li1 0.1278 0.8722 0.7500
Li2 0.8722 0.1278 0.2500
Ag1 0.1025 0.8975 0.2500
Ag2 0.2135 0.5691 0.5074
Ag3 0.2742 0.3462 0.0766
Ag4 0.3462 0.2742 0.5766
Ag5 0.4309 0.7865 0.9926
Ag6 0.5691 0.2135 0.0074
Ag7 0.6538 0.7258 0.4234
Ag8 0.7258 0.6538 0.9234
Ag9 0.7865 0.4309 0.4926
Ag10 0.8975 0.1025 0.7500
Ge1 0.0000 0.5000 0.0000
Ge2 0.5000 0.0000 0.5000
```



(4)
The following is a theoretical X-ray powder pattern of Li2Ag4Ge. It was derived from a PBE-relaxed structure, using Cu Kα X-rays.
Intensities are scaled so that the largest is 100.

Largest 12 diffraction maxima, low angle first, 2θ = 10–90°:
two_theta	I_rel
18.96	98.3
20.16	100.0
35.44	91.3
36.08	44.5
38.02	41.0
38.49	42.5
38.61	23.8
39.55	41.8
41.03	29.5
41.68	80.1
43.41	66.9
44.89	52.1

Structural model:
```
data_Li2Ag4Ge
_chemical_formula_sum 'Li4 Ag8 Ge2'
_space_group_name_H-M_alt 'P 1'
_space_group_IT_number 1
_cell_length_a 5.0750
_cell_length_b 5.5359
_cell_length_c 8.8075
_cell_angle_alpha 89.97
_cell_angle_beta 89.84
_cell_angle_gamma 86.57
loop_
_space_group_symop_operation_xyz
'x,y,z'
loop_
_atom_site_label
_atom_site_fract_x
_atom_site_fract_y
_atom_site_fract_z
Li1 0.2413 0.0521 0.0015
Li2 0.2413 0.5523 0.4994
Li3 0.7587 0.4477 0.5006
Li4 0.7587 0.9479 0.9985
Ag1 0.0021 0.0003 0.3285
Ag2 0.0026 0.5007 0.1715
Ag3 0.4970 0.2501 0.7499
Ag4 0.4970 0.7501 0.7501
Ag5 0.5030 0.2499 0.2499
Ag6 0.5030 0.7499 0.2501
Ag7 0.9974 0.4993 0.8285
Ag8 0.9979 0.9997 0.6715
Ge1 0.5000 0.0000 0.5000
Ge2 0.5000 0.5000 0.0000
```